SnHPd6: calculated powder XRD pattern (λ = 1.5418 Å (Cu Kα)), based on a crystal structure in Alexandria, relaxed with GGA-PBE.
No peak broadening, texture or thermal motion is included.

Top 8 peaks for 10° ≤ 2θ ≤ 90°, most intense first:
d_spacing	2θ/deg	I/Imax
2.356	38.19	100
2.041	44.39	46
1.442	64.62	16
1.120	86.99	13
1.301	72.69	11
1.273	74.51	9
1.239	76.94	9
1.230	77.65	8

Cell and atoms:
abc: 5.0000 5.0000 5.0000
angles: 99.65 99.65 99.65
Sites, in units of the cell vectors:
Sn 0.0000 0.0000 0.0000
H 0.5000 0.5000 0.5000
Pd 0.2158 0.2158 0.5847
Pd 0.2158 0.5847 0.2158
Pd 0.4153 0.7842 0.7842
Pd 0.5847 0.2158 0.2158
Pd 0.7842 0.4153 0.7842
Pd 0.7842 0.7842 0.4153